Structure and computed PXRD pattern of Li7Mn2Co3O12 (a PBE+U-relaxed structure; Cu Kα).
Neutral-atom scattering factors, no anomalous dispersion.

Cell and atoms:
abc: 5.8230 5.8706 7.6009
angles: 80.67 68.11 60.28
Fractional positions:
Li1 0.0000 0.0000 0.0000
Li2 0.0081 0.4909 0.0067
Li3 0.1755 0.8316 0.3294
Li4 0.3452 0.6442 0.6766
Li5 0.4988 0.4960 0.0093
Li6 0.6906 0.3275 0.3294
Li7 0.8454 0.1540 0.6671
Mn1 0.3434 0.1551 0.6686
Mn2 0.5042 0.9967 0.0051
Co1 0.1783 0.3260 0.3347
Co2 0.6844 0.8187 0.3315
Co3 0.8535 0.6426 0.6728
O1 0.0767 0.6427 0.1937
O2 0.1189 0.1594 0.1694
O3 0.2685 0.4589 0.5097
O4 0.2852 0.0047 0.4886
O5 0.4240 0.8447 0.8344
O6 0.4295 0.2941 0.8325
O7 0.5685 0.1663 0.1623
O8 0.5917 0.6919 0.1641
O9 0.7404 0.9756 0.5044
O10 0.7872 0.4820 0.5019
O11 0.8973 0.8267 0.8343
O12 0.9574 0.3130 0.8180

Principal peaks in the range 10° ≤ 2θ ≤ 90°, sorted by position:
two_theta	d (Å)	I (rel.)
12.56	7.050	9
18.51	4.794	100
35.76	2.511	14
36.39	2.469	13
36.86	2.438	12
43.22	2.093	29
44.17	2.050	27
44.60	2.031	26
48.22	1.887	8
63.37	1.468	8

=====

Structure and computed PXRD pattern of Li5MnCo2O8 (a PBE+U-relaxed structure; Cu Kα).
Neutral-atom scattering factors, no anomalous dispersion.

Cell and atoms:
abc: 5.8603 5.8603 4.9643
angles: 106.59 106.59 59.74
Fractional positions:
Li1 0.0000 0.0000 0.0000
Li2 0.0043 0.4994 0.9970
Li3 0.2471 0.2553 0.5013
Li4 0.5006 0.9957 0.0030
Li5 0.7447 0.7529 0.4987
Mn1 0.7495 0.2505 0.5000
Co1 0.2363 0.7637 0.5000
Co2 0.5030 0.4970 0.0000
O1 0.1010 0.1336 0.7221
O2 0.1655 0.6201 0.7576
O3 0.3799 0.8345 0.2424
O4 0.3951 0.3780 0.2462
O5 0.6209 0.1599 0.7522
O6 0.6220 0.6049 0.7538
O7 0.8401 0.3791 0.2478
O8 0.8664 0.8990 0.2779

Principal peaks in the range 10° ≤ 2θ ≤ 90°, sorted by position:
two_theta	d (Å)	I (rel.)
17.79	4.987	22
18.49	4.799	100
23.72	3.751	17
36.26	2.477	25
36.72	2.448	12
43.95	2.060	59
44.25	2.047	29
57.97	1.591	10
63.50	1.465	15
64.76	1.439	15

=====

Structure and computed PXRD pattern of Li3MnCoO5 (a PBE+U-relaxed structure; Cu Kα).
Neutral-atom scattering factors, no anomalous dispersion.

Cell and atoms:
abc: 7.7828 7.7828 8.2171
angles: 104.29 104.29 21.46
Fractional positions:
Li1 0.0000 0.0000 0.0000
Li2 0.0002 0.0002 0.4908
Li3 0.1995 0.1995 0.5924
Li4 0.4147 0.4147 0.2148
Li5 0.6000 0.6000 0.7742
Li6 0.8062 0.8062 0.3960
Mn1 0.2033 0.2033 0.0902
Mn2 0.4045 0.4045 0.6891
Co1 0.5986 0.5986 0.3165
Co2 0.8046 0.8046 0.8938
O1 0.0086 0.0086 0.2412
O2 0.1992 0.1992 0.3173
O3 0.2160 0.2160 0.8574
O4 0.3917 0.3917 0.9292
O5 0.4008 0.4008 0.4655
O6 0.6084 0.6084 0.5383
O7 0.6170 0.6170 0.0403
O8 0.7937 0.7937 0.1254
O9 0.8134 0.8134 0.6637
O10 0.9910 0.9910 0.7443

Principal peaks in the range 10° ≤ 2θ ≤ 90°, sorted by position:
two_theta	d (Å)	I (rel.)
11.12	7.953	13
11.96	7.401	14
18.31	4.845	100
36.29	2.475	24
36.39	2.469	12
43.71	2.071	57
44.09	2.054	26
57.43	1.605	10
63.38	1.467	14
64.28	1.449	22

=====

Structure and computed PXRD pattern of LiMnCo3O8 (a PBE+U-relaxed structure; Cu Kα).
Neutral-atom scattering factors, no anomalous dispersion.

Cell and atoms:
abc: 5.9726 5.9726 5.9726
angles: 56.69 56.69 56.69
Fractional positions:
Li1 0.0000 0.0000 0.0000
Mn1 0.5000 0.5000 0.5000
Co1 0.0000 0.0000 0.5000
Co2 0.0000 0.5000 0.0000
Co3 0.5000 0.0000 0.0000
O1 0.2267 0.7356 0.7356
O2 0.2276 0.2276 0.2276
O3 0.2644 0.2644 0.7733
O4 0.2644 0.7733 0.2644
O5 0.7356 0.2267 0.7356
O6 0.7356 0.7356 0.2267
O7 0.7724 0.7724 0.7724
O8 0.7733 0.2644 0.2644

Principal peaks in the range 10° ≤ 2θ ≤ 90°, sorted by position:
two_theta	d (Å)	I (rel.)
17.76	4.995	100
37.10	2.423	27
38.58	2.334	7
44.09	2.054	42
47.89	1.900	7
57.08	1.614	14
62.35	1.489	10
65.88	1.418	11
68.84	1.364	11
80.65	1.191	5

=====

Structure and computed PXRD pattern of Li7Mn2Co3O12 (a PBE+U-relaxed structure; Cu Kα).
Neutral-atom scattering factors, no anomalous dispersion.

Cell and atoms:
abc: 5.1254 5.1254 15.2926
angles: 99.94 99.94 32.50
Fractional positions:
Li1 0.0000 0.0000 0.0000
Li2 0.2402 0.2402 0.2473
Li3 0.2523 0.2523 0.5824
Li4 0.2589 0.2589 0.9241
Li5 0.7411 0.7411 0.0759
Li6 0.7477 0.7477 0.4176
Li7 0.7598 0.7598 0.7527
Mn1 0.4893 0.4893 0.1587
Mn2 0.5107 0.5107 0.8413
Co1 0.0059 0.0059 0.6676
Co2 0.5000 0.5000 0.5000
Co3 0.9941 0.9941 0.3324
O1 0.1035 0.1035 0.1289
O2 0.1151 0.1151 0.4556
O3 0.1169 0.1169 0.7960
O4 0.3781 0.3781 0.0513
O5 0.3776 0.3776 0.3731
O6 0.3965 0.3965 0.7163
O7 0.6035 0.6035 0.2837
O8 0.6224 0.6224 0.6269
O9 0.6219 0.6219 0.9487
O10 0.8831 0.8831 0.2040
O11 0.8849 0.8849 0.5444
O12 0.8965 0.8965 0.8711

Principal peaks in the range 10° ≤ 2θ ≤ 90°, sorted by position:
two_theta	d (Å)	I (rel.)
18.33	4.840	100
35.81	2.507	13
36.45	2.465	28
43.53	2.079	28
43.90	2.062	57
48.11	1.891	8
57.64	1.599	9
63.44	1.466	14
63.65	1.462	15
65.03	1.434	8

=====

Structure and computed PXRD pattern of Li5MnCo2O8 (a PBE+U-relaxed structure; Cu Kα).
Neutral-atom scattering factors, no anomalous dispersion.

Cell and atoms:
abc: 6.4750 6.4750 9.8866
angles: 127.45 127.45 26.07
Fractional positions:
Li1 0.0000 0.0000 0.0000
Li2 0.1272 0.1272 0.3734
Li3 0.3750 0.3750 0.1132
Li4 0.6250 0.6250 0.8868
Li5 0.8728 0.8728 0.6266
Mn1 0.5000 0.5000 0.5000
Co1 0.2675 0.2675 0.7636
Co2 0.7325 0.7325 0.2364
O1 0.0567 0.0567 0.6636
O2 0.1980 0.1980 0.0806
O3 0.3198 0.3198 0.4284
O4 0.4259 0.4259 0.8043
O5 0.5741 0.5741 0.1957
O6 0.6802 0.6802 0.5716
O7 0.8020 0.8020 0.9194
O8 0.9433 0.9433 0.3364

Principal peaks in the range 10° ≤ 2θ ≤ 90°, sorted by position:
two_theta	d (Å)	I (rel.)
11.46	7.724	19
18.32	4.843	100
26.85	3.320	13
31.98	2.799	12
36.00	2.495	24
43.31	2.089	63
44.46	2.038	27
57.00	1.616	13
63.56	1.464	15
64.06	1.454	14